(1)
Starting from a crystal structure in the Materials Project, relaxed with GGA-PBE, the powder diffraction line list of Ba8Bi10O27 was computed for CuKα.
No peak broadening, texture or thermal motion is included.

Main lines, most intense first (10 to 90 degrees two-theta):
- 28.5 deg, I 100
- 50.5 deg, I 43
- 40.8 deg, I 28
- 66.9 deg, I 18
- 59.0 deg, I 18
- 81.3 deg, I 17

Crystal structure
Cell: 10.8468 10.8468 22.9678 Å, 90.00 90.00 120.00°
Space group R-3 (No. 148, hexagonal axes)
Asymmetric unit:
Ba 0.0000 0.0000 0.1651 (multiplicity 6)
Ba 0.0044 0.6799 0.6069 (multiplicity 18)
Bi 0.0000 0.0000 0.0000 (multiplicity 3)
Bi 0.0000 0.0000 0.3340 (multiplicity 6)
Bi 0.0000 0.0000 0.5000 (multiplicity 3)
Bi 0.9999 0.3320 0.5562 (multiplicity 18)
O 0.0000 0.5000 0.5000 (multiplicity 9)
O 0.0046 0.1566 0.6015 (multiplicity 18)
O 0.0099 0.1764 0.2801 (multiplicity 18)
O 0.0133 0.5068 0.1665 (multiplicity 18)
O 0.0143 0.8417 0.0571 (multiplicity 18)

---

(2)
Starting from a crystal structure in the Materials Project, relaxed with GGA-PBE, the powder diffraction line list of Ba5Bi14O21 was computed for CuKα.
No peak broadening, texture or thermal motion is included.

Main lines, most intense first (10 to 90 degrees two-theta):
- 28.3 deg, I 100
- 28.5 deg, I 72
- 35.5 deg, I 59
- 28.1 deg, I 56
- 33.9 deg, I 53
- 30.0 deg, I 39

Crystal structure
Cell: 3.641 3.667 59.563 Å, 88.61 88.47 87.44°
Space group P1 (No. 1)
Asymmetric unit:
Ba 0.000 0.000 0.000 (multiplicity 1)
Ba 0.035 0.036 0.898 (multiplicity 1)
Ba 0.345 0.351 0.284 (multiplicity 1)
Ba 0.833 0.836 0.341 (multiplicity 1)
Ba 0.955 0.952 0.112 (multiplicity 1)
Bi 0.091 0.106 0.796 (multiplicity 1)
Bi 0.216 0.231 0.702 (multiplicity 1)
Bi 0.224 0.256 0.591 (multiplicity 1)
Bi 0.261 0.278 0.495 (multiplicity 1)
Bi 0.319 0.320 0.393 (multiplicity 1)
Bi 0.422 0.423 0.184 (multiplicity 1)
Bi 0.471 0.443 0.054 (multiplicity 1)
Bi 0.507 0.509 0.949 (multiplicity 1)
Bi 0.559 0.560 0.845 (multiplicity 1)
Bi 0.655 0.631 0.647 (multiplicity 1)
Bi 0.655 0.642 0.535 (multiplicity 1)
Bi 0.698 0.659 0.742 (multiplicity 1)
Bi 0.814 0.815 0.444 (multiplicity 1)
Bi 0.854 0.863 0.234 (multiplicity 1)
O 0.072 0.071 0.950 (multiplicity 1)
O 0.084 0.120 0.760 (multiplicity 1)
O 0.183 0.269 0.643 (multiplicity 1)
O 0.244 0.289 0.555 (multiplicity 1)
O 0.283 0.292 0.429 (multiplicity 1)
O 0.337 0.339 0.328 (multiplicity 1)
O 0.427 0.420 0.234 (multiplicity 1)
O 0.448 0.432 0.088 (multiplicity 1)
O 0.471 0.470 0.130 (multiplicity 1)
O 0.502 0.502 0.991 (multiplicity 1)
O 0.526 0.528 0.911 (multiplicity 1)
O 0.622 0.625 0.151 (multiplicity 1)
O 0.632 0.595 0.682 (multiplicity 1)
O 0.678 0.678 0.800 (multiplicity 1)
O 0.696 0.618 0.594 (multiplicity 1)
O 0.723 0.712 0.480 (multiplicity 1)
O 0.826 0.832 0.192 (multiplicity 1)
O 0.843 0.923 0.049 (multiplicity 1)
O 0.847 0.852 0.273 (multiplicity 1)
O 0.883 0.894 0.388 (multiplicity 1)
O 0.997 0.997 0.849 (multiplicity 1)